No. 1
Simulated X-ray diffraction stick pattern
Compound: Pm2Nd2DyEr
Radiation: Cu Kα
Structure: a structure optimized by DFT (GGA-PBE)

Crystal structure
abc: 7.076 5.707 9.890
angles: 90.00 90.00 90.00
Fractional positions:
Pm (0.250, 0.000, 0.163)
Pm (0.250, 0.500, 0.669)
Pm (0.750, 0.000, 0.837)
Pm (0.750, 0.500, 0.331)
Nd (0.000, 0.500, 0.000)
Nd (0.250, 0.000, 0.823)
Nd (0.500, 0.500, 0.000)
Nd (0.750, 0.000, 0.177)
Dy (0.250, 0.500, 0.342)
Dy (0.750, 0.500, 0.658)
Er (0.000, 0.000, 0.500)
Er (0.500, 0.000, 0.500)

Largest 6 diffraction maxima, by angle, 5 to 70 degrees two-theta:
| 2θ/deg | intensity | (hkl) |
| --- | --- | --- |
| 31.08 | 92 | 2 1 1 |
| 31.34 | 100 | 0 2 0 |
| 44.72 | 34 | 2 2 2 |
| 55.62 | 35 | 2 3 1 |
| 55.78 | 19 | 0 3 3 |
| 61.69 | 29 | 4 2 0 |

---

No. 2
Simulated X-ray diffraction stick pattern
Compound: Ba2TaSi
Radiation: Cu Kα
Structure: a structure optimized by DFT (GGA-PBE)

Crystal structure
abc: 3.654 3.654 9.740
angles: 90.00 90.00 90.00
Fractional positions:
Ba (0.000, 0.000, 0.000)
Ba (0.500, 0.500, 0.413)
Ta (0.500, 0.500, 0.732)
Si (0.000, 0.000, 0.673)

Largest 6 diffraction maxima, by angle, 5 to 70 degrees two-theta:
| 2θ/deg | intensity | (hkl) |
| --- | --- | --- |
| 9.08 | 71 | 0 0 1 |
| 26.05 | 100 | 1 0 1 |
| 30.59 | 59 | 1 0 2 |
| 34.72 | 75 | 1 1 0 |
| 37.04 | 54 | 1 0 3 |
| 44.83 | 48 | 1 1 3 |

---

No. 3
Simulated X-ray diffraction stick pattern
Compound: CsTaCo3
Radiation: Cu Kα
Structure: a structure optimized by DFT (GGA-PBE)

Crystal structure
abc: 4.763 4.763 4.763
angles: 90.00 90.00 90.00
Fractional positions:
Cs (0.000, 0.000, 0.000)
Ta (0.500, 0.500, 0.500)
Co (0.000, 0.500, 0.500)
Co (0.500, 0.000, 0.500)
Co (0.500, 0.500, 0.000)

Largest 6 diffraction maxima, by angle, 5 to 70 degrees two-theta:
| 2θ/deg | intensity | (hkl) |
| --- | --- | --- |
| 18.63 | 24 | 1 0 0 |
| 26.47 | 100 | 1 1 0 |
| 37.78 | 80 | 2 0 0 |
| 46.72 | 43 | 2 1 1 |
| 54.49 | 54 | 2 2 0 |
| 61.57 | 20 | 3 1 0 |